No. 1
For ZnAg2Sb, a PBE-relaxed structure gives the simulated powder X-ray diffraction pattern in this record (λ = 1.5418 Å (Cu Kα)).
No peak broadening, texture or thermal motion is included.

Crystal structure
```
ZnAg2Sb
1.0
4.4776 -1.6229 0.0000
4.4776 1.6229 0.0000
-1.0983 0.0000 5.5004
Zn Ag Sb
1 2 1
direct
0.0000 0.0000 0.0000
0.2590 0.2590 0.7856
0.7410 0.7410 0.2144
0.5000 0.5000 0.5000
```

Largest 10 diffraction maxima, low angle first, 10 to 90 degrees two-theta:
Position (°2θ)  I/Imax
34.6  100
34.9  48
41.1  32
42.0  25
42.4  58
56.7  12
56.8  19
65.5  13
68.4  13
73.0  19

---

No. 2
For Nd6CdPt2, a PBE-relaxed structure gives the simulated powder X-ray diffraction pattern in this record (λ = 1.5418 Å (Cu Kα)).
No peak broadening, texture or thermal motion is included.

Crystal structure
```
Nd6CdPt2
1.0
-4.8390 5.0566 5.4180
4.8390 -5.0566 5.4180
4.8390 5.0566 -5.4180
Nd Cd Pt
12 2 4
direct
0.0385 0.2359 0.8026
0.1805 0.2900 0.4704
0.1805 0.7100 0.8905
0.3285 0.0241 0.6956
0.3285 0.6330 0.3044
0.4334 0.2359 0.1974
0.5666 0.7641 0.8026
0.6715 0.3670 0.6956
0.6715 0.9759 0.3044
0.8195 0.2900 0.1095
0.8195 0.7100 0.5296
0.9615 0.7641 0.1974
0.0000 0.0000 0.0000
0.5000 0.5000 0.0000
0.1314 0.6314 0.5000
0.3417 0.0000 0.3417
0.6583 0.0000 0.6583
0.8686 0.3686 0.5000
```

Largest 10 diffraction maxima, low angle first, 10 to 90 degrees two-theta:
Position (°2θ)  I/Imax
12.7  45
30.4  74
32.2  83
32.6  100
33.4  88
34.0  43
37.2  38
37.4  38
37.7  38
57.5  43

---

No. 3
For Tl5BrCl4, a PBE-relaxed structure gives the simulated powder X-ray diffraction pattern in this record (λ = 1.5418 Å (Cu Kα)).
No peak broadening, texture or thermal motion is included.

Crystal structure
```
Tl5BrCl4
1.0
2.7761 -13.8203 0.0000
2.7761 13.8203 0.0000
0.0000 0.0000 3.9210
Tl Br Cl
5 1 4
direct
0.0000 0.0000 0.0000
0.2002 0.7998 0.0000
0.3963 0.6037 0.0000
0.6037 0.3963 0.0000
0.7998 0.2002 0.0000
0.5000 0.5000 0.5000
0.1018 0.8982 0.5000
0.2988 0.7012 0.5000
0.7012 0.2988 0.5000
0.8982 0.1018 0.5000
```

Largest 10 diffraction maxima, low angle first, 10 to 90 degrees two-theta:
Position (°2θ)  I/Imax
22.7  55
32.3  100
32.4  20
39.8  9
46.3  22
52.2  22
57.5  23
57.7  22
67.6  9
76.9  10

---

No. 4
For Th4IrPb, a PBE-relaxed structure gives the simulated powder X-ray diffraction pattern in this record (λ = 1.5418 Å (Cu Kα)).
No peak broadening, texture or thermal motion is included.

Crystal structure
```
Th4IrPb
1.0
5.5841 0.0000 0.0000
0.0000 6.4842 0.0000
-2.8013 0.0000 10.3084
Th Ir Pb
8 2 2
direct
0.0498 0.2500 0.1018
0.2048 0.5016 0.4097
0.2048 0.9984 0.4097
0.4026 0.2500 0.8048
0.5974 0.7500 0.1952
0.7952 0.0016 0.5903
0.7952 0.4984 0.5903
0.9502 0.7500 0.8982
0.0820 0.7500 0.1644
0.9180 0.2500 0.8356
0.3543 0.7500 0.7081
0.6457 0.2500 0.2919
```

Largest 10 diffraction maxima, low angle first, 10 to 90 degrees two-theta:
Position (°2θ)  I/Imax
26.9  50
28.9  70
30.3  32
32.1  98
32.6  36
34.4  67
34.6  100
37.6  36
43.7  47
50.2  32

---

No. 5
For La8Ge5As, a PBE-relaxed structure gives the simulated powder X-ray diffraction pattern in this record (λ = 1.5418 Å (Cu Kα)).
No peak broadening, texture or thermal motion is included.

Crystal structure
```
La8Ge5As
1.0
-4.6777 4.6777 4.6708
4.6777 -4.6777 4.6708
4.6777 4.6777 -4.6708
La Ge As
8 5 1
direct
0.0083 0.1246 0.7502
0.2414 0.4893 0.6152
0.3744 0.2581 0.2498
0.3739 0.7586 0.2479
0.5107 0.1260 0.7521
0.7419 0.9917 0.1163
0.8740 0.6261 0.3848
0.8754 0.6256 0.8837
0.9995 0.3760 0.1255
0.1260 0.0005 0.3764
0.2504 0.8740 0.8745
0.6240 0.7496 0.6236
0.7500 0.2500 0.5000
0.5000 0.5000 0.0000
```

Largest 10 diffraction maxima, low angle first, 10 to 90 degrees two-theta:
Position (°2θ)  I/Imax
23.3  9
27.0  13
30.2  100
35.9  62
47.6  18
49.7  32
61.1  22
62.9  12
64.6  14
74.6  12

---

No. 6
For Ce5Sb5F2, a PBE-relaxed structure gives the simulated powder X-ray diffraction pattern in this record (λ = 1.5418 Å (Cu Kα)).
No peak broadening, texture or thermal motion is included.

Crystal structure
```
Ce5Sb5F2
1.0
7.2135 -2.1230 0.0000
7.2135 2.1230 0.0000
-2.0485 0.0000 10.5869
Ce Sb F
5 5 2
direct
0.0000 0.0000 0.0000
0.0922 0.0922 0.3460
0.3348 0.3348 0.2022
0.6652 0.6652 0.7978
0.9078 0.9078 0.6540
0.2441 0.2441 0.6177
0.3442 0.3442 0.8951
0.5000 0.5000 0.5000
0.6558 0.6558 0.1049
0.7559 0.7559 0.3823
0.0635 0.0635 0.8061
0.9365 0.9365 0.1939
```

Largest 10 diffraction maxima, low angle first, 10 to 90 degrees two-theta:
Position (°2θ)  I/Imax
26.0  20
28.3  28
28.5  100
31.1  49
33.0  21
33.8  40
34.5  88
42.6  42
55.5  19
60.4  19

---

Please write out number 5 again, unchanged.
For La8Ge5As, a PBE-relaxed structure gives the simulated powder X-ray diffraction pattern in this record (λ = 1.5418 Å (Cu Kα)).
No peak broadening, texture or thermal motion is included.

Crystal structure
```
La8Ge5As
1.0
-4.6777 4.6777 4.6708
4.6777 -4.6777 4.6708
4.6777 4.6777 -4.6708
La Ge As
8 5 1
direct
0.0083 0.1246 0.7502
0.2414 0.4893 0.6152
0.3744 0.2581 0.2498
0.3739 0.7586 0.2479
0.5107 0.1260 0.7521
0.7419 0.9917 0.1163
0.8740 0.6261 0.3848
0.8754 0.6256 0.8837
0.9995 0.3760 0.1255
0.1260 0.0005 0.3764
0.2504 0.8740 0.8745
0.6240 0.7496 0.6236
0.7500 0.2500 0.5000
0.5000 0.5000 0.0000
```

Largest 10 diffraction maxima, low angle first, 10 to 90 degrees two-theta:
Position (°2θ)  I/Imax
23.3  9
27.0  13
30.2  100
35.9  62
47.6  18
49.7  32
61.1  22
62.9  12
64.6  14
74.6  12

---

Repeat the fourth record exactly.
For Th4IrPb, a PBE-relaxed structure gives the simulated powder X-ray diffraction pattern in this record (λ = 1.5418 Å (Cu Kα)).
No peak broadening, texture or thermal motion is included.

Crystal structure
```
Th4IrPb
1.0
5.5841 0.0000 0.0000
0.0000 6.4842 0.0000
-2.8013 0.0000 10.3084
Th Ir Pb
8 2 2
direct
0.0498 0.2500 0.1018
0.2048 0.5016 0.4097
0.2048 0.9984 0.4097
0.4026 0.2500 0.8048
0.5974 0.7500 0.1952
0.7952 0.0016 0.5903
0.7952 0.4984 0.5903
0.9502 0.7500 0.8982
0.0820 0.7500 0.1644
0.9180 0.2500 0.8356
0.3543 0.7500 0.7081
0.6457 0.2500 0.2919
```

Largest 10 diffraction maxima, low angle first, 10 to 90 degrees two-theta:
Position (°2θ)  I/Imax
26.9  50
28.9  70
30.3  32
32.1  98
32.6  36
34.4  67
34.6  100
37.6  36
43.7  47
50.2  32